Record 1
For Ac3HPd8, a structure optimized by DFT (PBE) gives the computed PXRD pattern in this record (Cu Kα (weighted mean of Kα1 and Kα2)).
Kinematic intensities with the Lorentz-polarization factor, no thermal factor.

Atomic structure:
```
12
Lattice="5.6234 0.0000 0.0000 -2.8117 4.8700 0.0000 0.0000 0.0000 9.2090" Properties=species:S:1:pos:R:3 pbc="T T T"
Ac 0.0000 0.0000 0.0000
Ac 0.0000 0.0000 3.6382
Ac 2.8117 1.6233 5.5548
H 2.8117 1.6233 1.2014
Pd -1.3975 2.4399 2.0215
Pd 0.0000 1.6224 6.5876
Pd -1.4066 4.0588 6.5876
Pd 0.0000 3.2467 4.2996
Pd 0.0000 3.2467 8.9026
Pd 1.3975 2.4399 2.0215
Pd 0.0000 4.8603 2.0215
Pd 1.4066 4.0588 6.5876
```

The 10 most intense peaks (2θ from 15° to 90°), most intense first:
2θ = 38.2°, I 100; 2θ = 37.5°, I 84; 2θ = 34.5°, I 71; 2θ = 26.6°, I 63; 2θ = 31.8°, I 50; 2θ = 42.0°, I 36; 2θ = 66.5°, I 32; 2θ = 58.5°, I 32; 2θ = 43.5°, I 22; 2θ = 60.5°, I 21

=====

Record 2
For HfTe2Pt, a structure optimized by DFT (PBE) gives the computed PXRD pattern in this record (Cu Kα (weighted mean of Kα1 and Kα2)).
Kinematic intensities with the Lorentz-polarization factor, no thermal factor.

Atomic structure:
```
16
Lattice="7.0428 0.0000 0.0000 0.0000 7.0428 0.0000 0.0000 0.0000 7.0428" Properties=species:S:1:pos:R:3 pbc="T T T"
Hf 0.0000 0.0000 0.0000
Hf 0.0000 3.5214 3.5214
Hf 3.5214 0.0000 3.5214
Hf 3.5214 3.5214 0.0000
Te 1.7607 1.7607 1.7607
Te 1.7607 1.7607 5.2821
Te 1.7607 5.2821 1.7607
Te 1.7607 5.2821 5.2821
Te 5.2821 1.7607 1.7607
Te 5.2821 1.7607 5.2821
Te 5.2821 5.2821 1.7607
Te 5.2821 5.2821 5.2821
Pt 0.0000 0.0000 3.5214
Pt 0.0000 3.5214 0.0000
Pt 3.5214 0.0000 0.0000
Pt 3.5214 3.5214 3.5214
```

The 9 most intense peaks (2θ from 15° to 90°), most intense first:
2θ = 36.1°, I 100; 2θ = 64.9°, I 36; 2θ = 51.9°, I 18; 2θ = 87.6°, I 16; 2θ = 76.5°, I 11; 2θ = 25.3°, I 5; 2θ = 58.6°, I 2; 2θ = 44.6°, I 1; 2θ = 82.1°, I 1

=====

Record 3
For CsMg2Pb10, a structure optimized by DFT (PBE) gives the computed PXRD pattern in this record (Cu Kα (weighted mean of Kα1 and Kα2)).
Kinematic intensities with the Lorentz-polarization factor, no thermal factor.

Atomic structure:
```
13
Lattice="0.0000 7.6628 8.6583 3.2184 0.0000 8.6583 3.2184 7.6628 0.0000" Properties=species:S:1:pos:R:3 pbc="T T T"
Cs 0.0000 0.0000 0.0000
Mg 1.6092 0.0000 4.3292
Mg 1.6092 7.6628 4.3292
Pb 1.6092 3.8314 0.0000
Pb 3.2184 5.0009 3.1393
Pb 3.2184 5.9541 6.5309
Pb 3.2184 10.3247 3.1393
Pb 3.2184 9.3714 6.5309
Pb 1.6092 3.8314 8.6583
Pb 3.2184 5.9541 10.7857
Pb 3.2184 5.0009 14.1774
Pb 3.2184 9.3714 10.7857
Pb 3.2184 10.3247 14.1774
```

The 10 most intense peaks (2θ from 15° to 90°), most intense first:
2θ = 31.2°, I 100; 2θ = 29.9°, I 95; 2θ = 31.9°, I 78; 2θ = 32.8°, I 74; 2θ = 36.5°, I 64; 2θ = 34.7°, I 62; 2θ = 36.0°, I 60; 2θ = 34.2°, I 59; 2θ = 27.7°, I 58; 2θ = 27.1°, I 57

=====

Record 4
For Hf4GeSb7, a structure optimized by DFT (PBE) gives the computed PXRD pattern in this record (Cu Kα (weighted mean of Kα1 and Kα2)).
Kinematic intensities with the Lorentz-polarization factor, no thermal factor.

Atomic structure:
```
12
Lattice="7.3527 0.0000 0.0000 0.0000 3.9855 0.0000 -0.0753 0.0000 9.5785" Properties=species:S:1:pos:R:3 pbc="T T T"
Hf 0.0000 0.0000 0.0000
Hf 0.0565 1.9927 4.8477
Hf 3.6030 0.0000 7.8781
Hf 3.7949 1.9927 3.2025
Ge 4.5304 1.9927 5.9385
Sb 0.9093 1.9927 2.0318
Sb 1.3223 1.9927 7.7535
Sb 2.4065 0.0000 5.0174
Sb 2.8844 0.0000 1.1473
Sb 5.0938 1.9927 0.1317
Sb 6.0335 0.0000 3.0358
Sb 6.3416 0.0000 6.7529
```

The 10 most intense peaks (2θ from 15° to 90°), most intense first:
2θ = 38.2°, I 100; 2θ = 38.1°, I 99; 2θ = 33.2°, I 89; 2θ = 34.5°, I 81; 2θ = 34.4°, I 71; 2θ = 45.5°, I 63; 2θ = 31.6°, I 52; 2θ = 41.2°, I 51; 2θ = 24.2°, I 50; 2θ = 41.5°, I 42